Theoretical powder XRD pattern of Ce4O3 for Cu Kα X-rays, from a cell relaxed with PBE.

The 8 most intense peaks (2θ from 10° to 90°), in order of falling intensity:
2θ/deg  I (rel.)
31.20  100
36.19  73
52.10  50
61.99  44
87.96  22
85.19  19
65.08  17
76.79  8

Atomic structure:
Unit cell a=4.965 b=4.965 c=4.965 alpha=90.00 beta=90.00 gamma=90.00
Fractional coordinates of all 7 atoms:
Ce  0.000  0.000  0.000
Ce  0.000  0.500  0.500
Ce  0.500  0.000  0.500
Ce  0.500  0.500  0.000
O  0.000  0.000  0.500
O  0.000  0.500  0.000
O  0.500  0.000  0.000

---

Theoretical powder XRD pattern of Ce3OsO for Cu Kα X-rays, from a cell relaxed with PBE.

The 10 most intense peaks (2θ from 10° to 90°), in order of falling intensity:
2θ/deg  I (rel.)
32.48  100
35.66  63
30.54  41
35.85  38
63.39  26
36.58  26
49.40  26
40.98  21
29.88  20
39.27  19

Atomic structure:
Unit cell a=7.008 b=3.690 c=8.432 alpha=90.00 beta=100.62 gamma=90.00
Fractional coordinates of all 10 atoms:
Ce  0.087  0.250  0.349
Ce  0.250  0.250  0.947
Ce  0.400  0.750  0.638
Ce  0.600  0.250  0.362
Ce  0.750  0.750  0.053
Ce  0.913  0.750  0.651
Os  0.331  0.750  0.192
Os  0.669  0.250  0.808
O  0.147  0.250  0.644
O  0.853  0.750  0.356

---

Theoretical powder XRD pattern of CeOsPbO6 for Cu Kα X-rays, from a cell relaxed with PBE.

The 10 most intense peaks (2θ from 10° to 90°), in order of falling intensity:
2θ/deg  I (rel.)
30.40  100
28.57  92
28.81  68
29.39  56
14.92  53
38.44  39
53.75  33
45.72  33
59.15  32
45.86  24

Atomic structure:
Unit cell a=7.200 b=7.200 c=7.200 alpha=119.38 beta=118.38 gamma=91.95
Fractional coordinates of all 18 atoms:
Ce  0.000  0.000  0.000
Ce  0.500  0.000  0.500
Os  0.500  0.000  0.000
Os  0.500  0.500  0.500
Pb  0.200  0.450  0.750
Pb  0.800  0.550  0.250
O  0.143  0.893  0.250
O  0.188  0.416  0.368
O  0.188  0.820  0.771
O  0.422  0.172  0.250
O  0.452  0.180  0.868
O  0.452  0.584  0.271
O  0.548  0.416  0.729
O  0.548  0.820  0.132
O  0.578  0.828  0.750
O  0.812  0.180  0.229
O  0.812  0.584  0.632
O  0.857  0.107  0.750

---

Theoretical powder XRD pattern of Rb2CeOs3O12 for Cu Kα X-rays, from a cell relaxed with PBE.

The 10 most intense peaks (2θ from 10° to 90°), in order of falling intensity:
2θ/deg  I (rel.)
29.75  100
28.22  98
28.57  77
14.75  70
14.08  55
27.52  49
49.85  48
48.10  44
28.39  40
45.29  31

Atomic structure:
Unit cell a=7.575 b=7.575 c=7.575 alpha=57.75 beta=57.75 gamma=57.75
Fractional coordinates of all 18 atoms:
Rb  0.125  0.125  0.125
Rb  0.875  0.875  0.875
Ce  0.500  0.500  0.500
Os  0.000  0.500  0.500
Os  0.500  0.000  0.500
Os  0.500  0.500  0.000
O  0.138  0.582  0.582
O  0.199  0.199  0.575
O  0.199  0.575  0.199
O  0.418  0.418  0.862
O  0.418  0.862  0.418
O  0.425  0.801  0.801
O  0.575  0.199  0.199
O  0.582  0.138  0.582
O  0.582  0.582  0.138
O  0.801  0.425  0.801
O  0.801  0.801  0.425
O  0.862  0.418  0.418

---

Theoretical powder XRD pattern of CePO5 for Cu Kα X-rays, from a cell relaxed with PBE.

The 10 most intense peaks (2θ from 10° to 90°), in order of falling intensity:
2θ/deg  I (rel.)
28.76  100
23.24  70
18.43  41
37.30  40
40.21  25
56.49  25
27.43  18
53.03  16
47.51  15
38.15  13

Atomic structure:
Unit cell a=5.240 b=5.240 c=7.183 alpha=110.01 beta=110.01 gamma=72.47
Fractional coordinates of all 14 atoms:
Ce  0.045  0.955  0.750
Ce  0.955  0.045  0.250
P  0.500  0.500  0.000
P  0.500  0.500  0.500
O  0.222  0.761  0.032
O  0.239  0.778  0.468
O  0.274  0.299  0.392
O  0.299  0.274  0.892
O  0.434  0.566  0.750
O  0.566  0.434  0.250
O  0.701  0.726  0.108
O  0.726  0.701  0.608
O  0.761  0.222  0.532
O  0.778  0.239  0.968

---

Theoretical powder XRD pattern of Ce4PO5 for Cu Kα X-rays, from a cell relaxed with PBE.

The 10 most intense peaks (2θ from 10° to 90°), in order of falling intensity:
2θ/deg  I (rel.)
25.12  100
28.65  78
44.76  54
31.14  40
49.83  28
55.84  22
31.34  19
39.87  16
48.99  13
52.15  12

Atomic structure:
Unit cell a=7.437 b=9.044 c=5.709 alpha=90.00 beta=90.00 gamma=90.00
Fractional coordinates of all 20 atoms:
Ce  0.007  0.250  0.023
Ce  0.250  0.026  0.520
Ce  0.250  0.474  0.520
Ce  0.493  0.250  0.023
Ce  0.507  0.750  0.977
Ce  0.750  0.526  0.480
Ce  0.750  0.974  0.480
Ce  0.993  0.750  0.977
P  0.250  0.750  0.313
P  0.750  0.250  0.687
O  0.003  0.560  0.734
O  0.003  0.940  0.734
O  0.250  0.250  0.768
O  0.497  0.560  0.734
O  0.497  0.940  0.734
O  0.503  0.060  0.266
O  0.503  0.440  0.266
O  0.750  0.750  0.232
O  0.997  0.060  0.266
O  0.997  0.440  0.266

---

Theoretical powder XRD pattern of CePO6 for Cu Kα X-rays, from a cell relaxed with PBE.

The 10 most intense peaks (2θ from 10° to 90°), in order of falling intensity:
2θ/deg  I (rel.)
22.72  100
32.35  37
52.27  33
38.14  30
19.65  27
46.41  20
50.85  20
72.46  15
57.71  13
67.73  11

Atomic structure:
Unit cell a=5.536 b=5.536 c=5.536 alpha=59.95 beta=59.95 gamma=59.95
Fractional coordinates of all 8 atoms:
Ce  0.000  0.000  0.000
P  0.500  0.500  0.500
O  0.285  0.712  0.289
O  0.288  0.711  0.715
O  0.289  0.285  0.712
O  0.711  0.715  0.288
O  0.712  0.289  0.285
O  0.715  0.288  0.711

---

Theoretical powder XRD pattern of CePO5 for Cu Kα X-rays, from a cell relaxed with PBE.

The 10 most intense peaks (2θ from 10° to 90°), in order of falling intensity:
2θ/deg  I (rel.)
24.76  100
24.42  98
17.44  46
43.39  36
59.71  31
35.05  30
39.63  28
50.60  25
46.52  22
35.30  20

Atomic structure:
Unit cell a=7.192 b=7.192 c=4.229 alpha=90.00 beta=90.00 gamma=90.00
Fractional coordinates of all 14 atoms:
Ce  0.250  0.250  0.238
Ce  0.750  0.750  0.762
P  0.250  0.750  0.000
P  0.750  0.250  0.000
O  0.073  0.750  0.794
O  0.250  0.250  0.735
O  0.250  0.573  0.206
O  0.250  0.927  0.206
O  0.427  0.750  0.794
O  0.573  0.250  0.206
O  0.750  0.073  0.794
O  0.750  0.427  0.794
O  0.750  0.750  0.265
O  0.927  0.250  0.206